Entry 1:
Starting from the PBE+U geometry in the Materials Project, the powder diffractogram of Li10Co3Ni7O20 was simulated for Cu Kα.
Peak positions follow from Bragg's law for the DFT cell and can differ from measured ones.

Most intense lines, 10 to 80 degrees two-theta, most intense first:
2θ (°)	intensity
18.54	100
44.55	46
63.79	32
36.81	26
43.18	25
35.63	16
37.58	11
38.30	10
48.30	10
58.61	9
65.79	6
67.32	5

Structure:
```
data_Li10Co3Ni7O20
_space_group_name_H-M_alt 'C 1 2/m 1'
_space_group_IT_number 12
_cell_length_a 22.7024
_cell_length_b 2.8389
_cell_length_c 11.6618
_cell_angle_alpha 90.00
_cell_angle_beta 112.65
_cell_angle_gamma 90.00
loop_
_space_group_symop_operation_xyz
'x,y,z'
'-x,-y,-z'
'-x,y,-z'
'x,-y,z'
'x+1/2,y+1/2,z'
'-x+1/2,-y+1/2,-z'
'-x+1/2,y+1/2,-z'
'x+1/2,-y+1/2,z'
loop_
_atom_site_label
_atom_site_type_symbol
_atom_site_fract_x
_atom_site_fract_y
_atom_site_fract_z
Li1 Li 0.0012 0.0000 0.2526
Li2 Li 0.1004 0.5000 0.4510
Li3 Li 0.1005 0.5000 0.9479
Li4 Li 0.1999 0.0000 0.1496
Li5 Li 0.2000 0.0000 0.6489
Co1 Co 0.0000 0.0000 0.5000
Co2 Co 0.0995 0.5000 0.1990
Ni1 Ni 0.0000 0.0000 0.0000
Ni2 Ni 0.0972 0.5000 0.6998
Ni3 Ni 0.2002 0.0000 0.4021
Ni4 Ni 0.1998 0.0000 0.8983
O1 O 0.0024 0.5000 0.3922
O2 O 0.0092 0.5000 0.1313
O3 O 0.0911 0.0000 0.5822
O4 O 0.0987 0.0000 0.8129
O5 O 0.0996 0.0000 0.0881
O6 O 0.0995 0.0000 0.3091
O7 O 0.1897 0.5000 0.2697
O8 O 0.1992 0.5000 0.0095
O9 O 0.1990 0.5000 0.7856
O10 O 0.1999 0.5000 0.5238
```

***

Entry 2:
Starting from the PBE+U geometry in the Materials Project, the powder diffractogram of Na2FeO4 was simulated for Cu Kα.
Peak positions follow from Bragg's law for the DFT cell and can differ from measured ones.

Most intense lines, 10 to 80 degrees two-theta, most intense first:
2θ (°)	intensity
30.57	100
32.51	77
21.66	71
22.66	63
30.35	55
24.64	39
56.35	35
61.40	29
36.05	27
17.80	23
44.16	23
41.22	20

Structure:
```
data_Na2FeO4
_space_group_name_H-M_alt 'C m c m'
_space_group_IT_number 63
_space_group_name_Hall '-C 2c 2'
_cell_length_a 5.8899
_cell_length_b 9.3460
_cell_length_c 7.2250
_cell_angle_alpha 90.00
_cell_angle_beta 90.00
_cell_angle_gamma 90.00
loop_
_atom_site_label
_atom_site_type_symbol
_atom_site_fract_x
_atom_site_fract_y
_atom_site_fract_z
Na1 Na 0.0000 0.0000 0.0000
Na2 Na 0.0000 0.3185 0.2500
Fe1 Fe 0.0000 0.3529 0.7500
O1 O 0.0000 0.2502 0.5641
O2 O 0.2304 0.4577 0.7500
```

***

Entry 3:
Starting from the PBE+U geometry in the Materials Project, the powder diffractogram of MgVCr2Fe3P6O24 was simulated for Cu Kα.
Peak positions follow from Bragg's law for the DFT cell and can differ from measured ones.

Most intense lines, 10 to 80 degrees two-theta, most intense first:
2θ (°)	intensity
20.32	100
23.24	56
23.92	56
20.47	41
35.77	39
24.30	35
31.29	27
24.34	24
45.07	20
46.01	19
35.48	19
56.03	16

Structure:
```
data_MgVCr2Fe3P6O24
_space_group_name_H-M_alt 'P 1'
_space_group_IT_number 1
_cell_length_a 8.6752
_cell_length_b 8.6885
_cell_length_c 8.7527
_cell_angle_alpha 62.76
_cell_angle_beta 60.30
_cell_angle_gamma 60.13
loop_
_space_group_symop_operation_xyz
'x,y,z'
loop_
_atom_site_label
_atom_site_type_symbol
_atom_site_fract_x
_atom_site_fract_y
_atom_site_fract_z
Mg1 Mg 0.0000 0.0000 0.0000
V1 V 0.2833 0.1623 0.2758
Cr1 Cr 0.1372 0.5997 0.1342
Cr2 Cr 0.6353 0.1263 0.6145
Fe1 Fe 0.4856 0.5581 0.4739
Fe2 Fe 0.7604 0.7322 0.7479
Fe3 Fe 0.8828 0.3765 0.8708
P1 P 0.0902 0.8729 0.6568
P2 P 0.1942 0.3485 0.5797
P3 P 0.3798 0.8489 0.0934
P4 P 0.5839 0.3579 0.8782
P5 P 0.6750 0.8591 0.3738
P6 P 0.8883 0.3710 0.1715
O1 O 0.0194 0.5251 0.6261
O2 O 0.0555 0.3744 0.1913
O3 O 0.0864 0.8469 0.8429
O4 O 0.1326 0.1926 0.7496
O5 O 0.1445 0.0455 0.5077
O6 O 0.2154 0.3471 0.3944
O7 O 0.2218 0.8164 0.0889
O8 O 0.2316 0.6965 0.5980
O9 O 0.2945 0.0330 0.1474
O10 O 0.3837 0.3410 0.5617
O11 O 0.3953 0.3683 0.0444
O12 O 0.4640 0.6832 0.2331
O13 O 0.5268 0.8875 0.9010
O14 O 0.5276 0.0322 0.2883
O15 O 0.5718 0.3428 0.7164
O16 O 0.6167 0.6896 0.4656
O17 O 0.6326 0.5305 0.8278
O18 O 0.6791 0.9129 0.5182
O19 O 0.7259 0.3669 0.3553
O20 O 0.7583 0.1969 0.9293
O21 O 0.8437 0.5374 0.0037
O22 O 0.8707 0.8191 0.2188
O23 O 0.8890 0.9172 0.6639
O24 O 0.9404 0.2039 0.1090
```

***

Entry 4:
Starting from the PBE+U geometry in the Materials Project, the powder diffractogram of Sr2NiClO3 was simulated for Cu Kα.
Peak positions follow from Bragg's law for the DFT cell and can differ from measured ones.

Most intense lines, 10 to 80 degrees two-theta, most intense first:
2θ (°)	intensity
33.54	100
32.59	89
46.76	48
58.76	38
12.02	28
29.32	27
40.99	26
38.35	22
68.27	14
77.72	14
55.23	11
65.39	10

Structure:
```
data_Sr2NiClO3
_space_group_name_H-M_alt 'P m m a'
_space_group_IT_number 51
_cell_length_a 5.4939
_cell_length_b 5.4966
_cell_length_c 14.7231
_cell_angle_alpha 90.00
_cell_angle_beta 90.00
_cell_angle_gamma 90.00
loop_
_space_group_symop_operation_xyz
'x,y,z'
'-x,-y,-z'
'-x+1/2,-y,z'
'x+1/2,y,-z'
'x+1/2,-y,-z'
'-x+1/2,y,z'
'-x,y,-z'
'x,-y,z'
loop_
_atom_site_label
_atom_site_type_symbol
_atom_site_fract_x
_atom_site_fract_y
_atom_site_fract_z
Sr1 Sr 0.2500 0.0000 0.0942
Sr2 Sr 0.2500 0.0000 0.3407
Sr3 Sr 0.2500 0.5000 0.6595
Sr4 Sr 0.2500 0.5000 0.9051
Ni1 Ni 0.2500 0.0000 0.7916
Ni2 Ni 0.2500 0.5000 0.2027
Cl1 Cl 0.2500 0.0000 0.5764
Cl2 Cl 0.2500 0.5000 0.4195
O1 O 0.0076 0.2424 0.7723
O2 O 0.2500 0.0000 0.9254
O3 O 0.2500 0.5000 0.0708
```